# 1
# RbTmAs2O8
Computed PXRD pattern, λ = 1.5418 Å (Cu Kα). Input: a cell relaxed with GGA-PBE.
Neutral-atom scattering factors, no anomalous dispersion.

Most intense lines, 10 to 90 degrees two-theta, by intensity:
d_spacing, 2θ (°), Rel. int., h k l
3.145, 28.4, 100, 0 1 2
4.269, 20.8, 88, 0 1 1
2.906, 30.8, 70, 1 1 0
5.033, 17.6, 48, 1 0 0
2.134, 42.3, 42, 0 2 2
1.720, 53.2, 34, 3 -2 2

Structural model:
a b c (Å): 5.8121 5.8121 8.0568
angles (deg): 90.00 90.00 120.00
Space group P-3 (No. 147)
Inequivalent atoms, fractional coordinates:
Rb1 0.0000 0.0000 0.0000 [1 per cell]
Tm1 0.0000 0.0000 0.5000 [1 per cell]
As1 0.3333 0.6667 0.7331 [2 per cell]
O1 0.1704 0.3443 0.6675 [6 per cell]
O2 0.3333 0.6667 0.9475 [2 per cell]

# 2
# Nb12In3Ga
Computed PXRD pattern, λ = 1.5418 Å (Cu Kα). Input: a cell relaxed with GGA-PBE.
Neutral-atom scattering factors, no anomalous dispersion.

Most intense lines, 10 to 90 degrees two-theta, by intensity:
d_spacing, 2θ (°), Rel. int., h k l
2.375, 37.9, 100, 2 0 2
2.168, 41.7, 85, 1 2 2
2.367, 38.0, 50, 0 1 4
2.162, 41.8, 42, 1 1 4
2.657, 33.7, 39, 2 0 0
1.419, 65.8, 31, 2 3 2

Structural model:
a b c (Å): 5.311 5.318 10.573
angles (deg): 90.00 90.00 90.00
Space group Pmmm (No. 47)
Inequivalent atoms, fractional coordinates:
Nb1 0.000 0.000 0.122 [2 per cell]
Nb2 0.000 0.000 0.373 [2 per cell]
Nb3 0.248 0.500 0.500 [2 per cell]
Nb4 0.260 0.500 0.000 [2 per cell]
Nb5 0.500 0.248 0.242 [4 per cell]
In1 0.000 0.500 0.250 [2 per cell]
In2 0.500 0.000 0.500 [1 per cell]
Ga1 0.500 0.000 0.000 [1 per cell]

# 3
# TmCd3Hg4
Computed PXRD pattern, λ = 1.5418 Å (Cu Kα). Input: a cell relaxed with GGA-PBE.
Neutral-atom scattering factors, no anomalous dispersion.

Most intense lines, 10 to 90 degrees two-theta, by intensity:
d_spacing, 2θ (°), Rel. int., h k l
2.631, 34.1, 100, 3 1 1
2.373, 37.9, 19, 0 2 0
2.259, 39.9, 16, 8 0 0
2.212, 40.8, 15, 2 0 -2
1.636, 56.2, 12, 8 2 0
1.618, 56.9, 12, 2 2 -2

Structural model:
a b c (Å): 18.592 4.746 4.424
angles (deg): 90.00 103.54 90.00
Space group C2/m (No. 12)
Inequivalent atoms, fractional coordinates:
Tm1 0.000 0.000 0.000 [2 per cell]
Cd1 0.000 0.500 0.500 [2 per cell]
Cd2 0.127 0.500 0.125 [4 per cell]
Hg1 0.120 0.000 0.618 [4 per cell]
Hg2 0.248 0.000 0.249 [4 per cell]

Please write out number 1 again, unchanged.
# RbTmAs2O8
Computed PXRD pattern, λ = 1.5418 Å (Cu Kα). Input: a cell relaxed with GGA-PBE.
Neutral-atom scattering factors, no anomalous dispersion.

Most intense lines, 10 to 90 degrees two-theta, by intensity:
d_spacing, 2θ (°), Rel. int., h k l
3.145, 28.4, 100, 0 1 2
4.269, 20.8, 88, 0 1 1
2.906, 30.8, 70, 1 1 0
5.033, 17.6, 48, 1 0 0
2.134, 42.3, 42, 0 2 2
1.720, 53.2, 34, 3 -2 2

Structural model:
a b c (Å): 5.8121 5.8121 8.0568
angles (deg): 90.00 90.00 120.00
Space group P-3 (No. 147)
Inequivalent atoms, fractional coordinates:
Rb1 0.0000 0.0000 0.0000 [1 per cell]
Tm1 0.0000 0.0000 0.5000 [1 per cell]
As1 0.3333 0.6667 0.7331 [2 per cell]
O1 0.1704 0.3443 0.6675 [6 per cell]
O2 0.3333 0.6667 0.9475 [2 per cell]

Question: Number 2 is which compound?
Answer: Nb12In3Ga